# CoAs2
Computed powder X-ray diffraction pattern, Cu Ka. Input: a GGA-PBE-relaxed structure.
No peak broadening, texture or thermal motion is included.

Main lines, most intense first (2θ from 5° to 70°):
2θ (°), intensity
35.08, 100.0
37.04, 94.6
33.67, 76.8
48.54, 65.8
55.19, 45.3
56.10, 28.0

Atomic structure:
```
CoAs2
1.0
5.119 0.000 0.000
0.000 5.905 0.000
0.000 0.000 3.116
Co As
2 4
Cartesian
0.000 0.000 0.000
2.560 2.953 1.558
0.964 2.148 0.000
1.596 5.101 1.558
3.524 0.804 1.558
4.156 3.757 0.000
```